Record 1
Calculated XRD peak list of BaBeCo for CuKα, from DFT lattice parameters and positions (PBE).

Cell and atoms:
Unit cell a=6.5242 b=6.5242 c=6.5242 alpha=90.00 beta=90.00 gamma=90.00
Positions (direct):
Ba1 0.0000 0.0000 0.0000
Ba2 0.0000 0.5000 0.5000
Ba3 0.5000 0.0000 0.5000
Ba4 0.5000 0.5000 0.0000
Be1 0.0000 0.0000 0.5000
Be2 0.0000 0.5000 0.0000
Be3 0.5000 0.0000 0.0000
Be4 0.5000 0.5000 0.5000
Co1 0.2500 0.2500 0.2500
Co2 0.2500 0.7500 0.7500
Co3 0.7500 0.2500 0.7500
Co4 0.7500 0.7500 0.2500

Top 12 peaks for 15 to 90 degrees two-theta, in order of rising 2θ:
d/Å	Position (°2θ)	I_rel
3.767	23.62	100
3.262	27.34	15
2.307	39.05	82
1.967	46.15	50
1.883	48.33	4
1.631	56.41	14
1.497	62.00	20
1.459	63.80	6
1.332	70.74	27
1.256	75.76	15
1.153	83.89	9
1.103	88.70	16

---

Record 2
Calculated XRD peak list of Al13Fe4 for CuKα, from DFT lattice parameters and positions (PBE).

Cell and atoms:
Unit cell a=8.6854 b=8.6854 c=12.4131 alpha=105.65 beta=105.65 gamma=54.97
Positions (direct):
Al1 0.0000 0.0000 0.0000
Al2 0.0213 0.0213 0.6700
Al3 0.0795 0.6565 0.6097
Al4 0.0820 0.6444 0.9781
Al5 0.0970 0.5319 0.3892
Al6 0.1023 0.5414 0.1655
Al7 0.1770 0.1770 0.2186
Al8 0.1952 0.1952 0.7276
Al9 0.2252 0.7590 0.8301
Al10 0.2410 0.7748 0.1699
Al11 0.2498 0.7502 0.5000
Al12 0.2593 0.2593 0.5391
Al13 0.2628 0.2628 0.9653
Al14 0.3435 0.9205 0.3903
Al15 0.3556 0.9180 0.0219
Al16 0.4130 0.4130 0.7118
Al17 0.4263 0.4263 0.9197
Al18 0.4348 0.4348 0.3268
Al19 0.4586 0.8977 0.8345
Al20 0.4681 0.9030 0.6108
Al21 0.5319 0.0970 0.3892
Al22 0.5414 0.1023 0.1655
Al23 0.5652 0.5652 0.6732
Al24 0.5737 0.5737 0.0803
Al25 0.5870 0.5870 0.2882
Al26 0.6444 0.0820 0.9781
Al27 0.6565 0.0795 0.6097
Al28 0.7372 0.7372 0.0347
Al29 0.7407 0.7407 0.4609
Al30 0.7502 0.2498 0.5000
Al31 0.7590 0.2252 0.8301
Al32 0.7748 0.2410 0.1699
Al33 0.8048 0.8048 0.2724
Al34 0.8230 0.8230 0.7814
Al35 0.8977 0.4586 0.8345
Al36 0.9030 0.4681 0.6108
Al37 0.9180 0.3556 0.0219
Al38 0.9205 0.3435 0.3903
Al39 0.9787 0.9787 0.3300
Fe1 0.0979 0.0979 0.5149
Fe2 0.0986 0.0986 0.8762
Fe3 0.1131 0.5266 0.7777
Fe4 0.4093 0.4093 0.5121
Fe5 0.4148 0.4148 0.1172
Fe6 0.4734 0.8869 0.2223
Fe7 0.5266 0.1131 0.7777
Fe8 0.5852 0.5852 0.8828
Fe9 0.5907 0.5907 0.4879
Fe10 0.8869 0.4734 0.2223
Fe11 0.9014 0.9014 0.1238
Fe12 0.9021 0.9021 0.4851

Top 12 peaks for 15 to 90 degrees two-theta, in order of rising 2θ:
d/Å	Position (°2θ)	I_rel
4.017	22.13	32
3.942	22.56	34
3.517	25.33	48
3.241	27.52	32
2.088	43.33	89
2.082	43.46	78
2.074	43.63	31
2.068	43.78	33
2.037	44.47	100
2.029	44.66	68
2.020	44.88	63
2.004	45.25	77

---

Copy entry 1 word for word.
Calculated XRD peak list of BaBeCo for CuKα, from DFT lattice parameters and positions (PBE).

Cell and atoms:
Unit cell a=6.5242 b=6.5242 c=6.5242 alpha=90.00 beta=90.00 gamma=90.00
Positions (direct):
Ba1 0.0000 0.0000 0.0000
Ba2 0.0000 0.5000 0.5000
Ba3 0.5000 0.0000 0.5000
Ba4 0.5000 0.5000 0.0000
Be1 0.0000 0.0000 0.5000
Be2 0.0000 0.5000 0.0000
Be3 0.5000 0.0000 0.0000
Be4 0.5000 0.5000 0.5000
Co1 0.2500 0.2500 0.2500
Co2 0.2500 0.7500 0.7500
Co3 0.7500 0.2500 0.7500
Co4 0.7500 0.7500 0.2500

Top 12 peaks for 15 to 90 degrees two-theta, in order of rising 2θ:
d/Å	Position (°2θ)	I_rel
3.767	23.62	100
3.262	27.34	15
2.307	39.05	82
1.967	46.15	50
1.883	48.33	4
1.631	56.41	14
1.497	62.00	20
1.459	63.80	6
1.332	70.74	27
1.256	75.76	15
1.153	83.89	9
1.103	88.70	16